(1)
This entry pairs a crystal structure of V2SiRu3 with its theoretical XRD peak list. Radiation: Cu Kα, 1.54184 Å. Structure: DFT lattice parameters and positions (GGA-PBE).
No peak broadening, texture or thermal motion is included.

Peak list (12 most intense, 2θ from 15° to 90°, in order of falling intensity)
| Position (°2θ) | I_rel |
| --- | --- |
| 42.7 | 100 |
| 43.3 | 49 |
| 79.0 | 30 |
| 30.2 | 22 |
| 62.9 | 15 |
| 77.7 | 15 |
| 29.4 | 12 |
| 53.2 | 9 |
| 61.0 | 8 |
| 71.4 | 4 |
| 70.9 | 4 |
| 69.6 | 4 |

Cell and atoms:
```
V2SiRu3
1.0
2.0889 -6.2738 0.0000
2.0889 6.2738 0.0000
0.0000 0.0000 6.0747
V Si Ru
4 2 6
Cartesian
0.0000 0.0000 0.0000
0.0000 0.0000 3.0373
2.0889 2.0957 0.0000
2.0889 -2.0957 0.0000
2.0889 2.0394 3.0373
2.0889 -2.0394 3.0373
2.0889 4.1500 1.6022
2.0889 4.1500 4.4724
2.0889 0.0000 1.5628
2.0889 0.0000 4.5118
2.0889 -4.1500 1.6022
2.0889 -4.1500 4.4724
```

=====

(2)
This entry pairs a crystal structure of Y3Si12Ru4 with its theoretical XRD peak list. Radiation: Cu Kα, 1.54184 Å. Structure: DFT lattice parameters and positions (GGA-PBE).
No peak broadening, texture or thermal motion is included.

Peak list (12 most intense, 2θ from 15° to 90°, in order of falling intensity)
| Position (°2θ) | I_rel |
| --- | --- |
| 35.2 | 100 |
| 36.5 | 83 |
| 36.8 | 75 |
| 58.9 | 50 |
| 49.4 | 47 |
| 21.1 | 47 |
| 45.6 | 46 |
| 32.6 | 36 |
| 42.8 | 35 |
| 31.1 | 34 |
| 64.8 | 33 |
| 19.1 | 30 |

Cell and atoms:
```
Y3Si12Ru4
1.0
9.2708 -4.0693 0.0000
9.2708 4.0693 0.0000
0.0000 0.0000 8.1438
Y Si Ru
6 24 8
Cartesian
0.0000 0.0000 0.0000
4.6354 2.0105 2.0359
4.6354 -2.0105 6.1078
9.2708 0.0000 4.0719
13.9062 2.0105 2.0359
13.9062 -2.0105 6.1078
7.0991 2.2130 4.0264
2.1730 0.0371 5.9294
2.1730 -0.0371 2.2144
7.0991 1.8563 8.0983
9.2708 2.7085 5.4300
3.8085 0.0000 4.0719
5.4623 0.0000 0.0000
9.2708 1.3607 1.3582
11.4424 2.2130 4.0264
7.0978 0.0371 6.2863
7.0978 -0.0371 1.8575
11.4424 1.8563 8.0983
7.0991 -1.8563 0.0455
11.4438 0.0371 6.2863
11.4438 -0.0371 1.8575
7.0991 -2.2130 4.1174
9.2708 -1.3607 6.7856
13.0793 0.0000 0.0000
14.7330 0.0000 4.0719
9.2708 -2.7085 2.7137
11.4424 -1.8563 0.0455
16.3686 0.0371 5.9294
16.3686 -0.0371 2.2144
11.4424 -2.2130 4.1174
9.2708 3.0383 3.0372
3.1330 0.0000 0.0000
6.1378 0.0000 4.0719
9.2708 1.0309 7.1091
9.2708 -1.0309 1.0347
12.4038 0.0000 4.0719
15.4086 0.0000 0.0000
9.2708 -3.0383 5.1066
```

=====

(3)
This entry pairs a crystal structure of ZnSiRu with its theoretical XRD peak list. Radiation: Cu Kα, 1.54184 Å. Structure: DFT lattice parameters and positions (GGA-PBE).
No peak broadening, texture or thermal motion is included.

Peak list (12 most intense, 2θ from 15° to 90°, in order of falling intensity)
| Position (°2θ) | I_rel |
| --- | --- |
| 40.5 | 100 |
| 44.4 | 73 |
| 50.7 | 51 |
| 41.7 | 44 |
| 24.5 | 29 |
| 67.7 | 21 |
| 71.5 | 18 |
| 74.7 | 15 |
| 30.5 | 14 |
| 79.0 | 13 |
| 78.0 | 13 |
| 20.5 | 11 |

Cell and atoms:
```
ZnSiRu
1.0
0.0000 3.9898 4.3279
2.3157 0.0000 4.3279
2.3157 3.9898 0.0000
Zn Si Ru
2 2 2
Cartesian
2.3157 1.3218 4.3279
2.3157 6.6578 4.3279
3.4735 4.6400 6.4918
3.4735 7.3294 6.4918
1.1578 1.9949 2.1639
2.3157 3.9898 4.3279
```

=====

(4)
This entry pairs a crystal structure of ZnSiRu with its theoretical XRD peak list. Radiation: Cu Kα, 1.54184 Å. Structure: DFT lattice parameters and positions (GGA-PBE).
No peak broadening, texture or thermal motion is included.

Peak list (12 most intense, 2θ from 15° to 90°, in order of falling intensity)
| Position (°2θ) | I_rel |
| --- | --- |
| 40.1 | 100 |
| 42.1 | 77 |
| 40.8 | 74 |
| 43.1 | 72 |
| 25.0 | 62 |
| 45.6 | 61 |
| 51.6 | 47 |
| 49.9 | 41 |
| 30.6 | 27 |
| 74.6 | 27 |
| 37.5 | 22 |
| 66.8 | 21 |

Cell and atoms:
```
ZnSiRu
1.0
2.3258 -3.9974 0.0000
2.3258 3.9974 0.0000
-2.0454 0.0000 4.2943
Zn Si Ru
2 2 2
Cartesian
0.7918 3.6857 3.2207
1.8145 -3.6857 1.0736
1.8145 1.6387 1.0736
0.7918 -1.6387 3.2207
0.7918 1.0282 3.2207
1.8145 -1.0282 1.0736
```